K2VSiS4: theoretical powder diffractogram (Cu Kα (λ = 1.5418 Å)), based on DFT lattice parameters and positions (PBE).
Intensities are scaled so that the largest is 1000.

Structural model:
a = 7.061 Å, b = 7.061 Å, c = 8.076 Å
α = 90.00°, β = 90.00°, γ = 90.00°
Space group I-4 (No. 82)
One atom of each set of equivalent atoms:
K 0.000 0.000 0.000
K 0.000 0.500 0.250
V 0.000 0.000 0.500
Si 0.000 0.500 0.750
S 0.141 0.280 0.611

Largest 10 diffraction maxima, low angle first, 2θ from 10° to 90°:
hkl 1 0 1, 16.68°, rel. 192; hkl 2 0 0, 25.23°, rel. 141; hkl 1 1 2, 28.43°, rel. 1000; hkl 2 1 1, 30.40°, rel. 323; hkl 2 2 0, 35.98°, rel. 247; hkl 1 3 0, 40.40°, rel. 85; hkl 1 3 2, 46.48°, rel. 368; hkl 2 0 4, 52.19°, rel. 236; hkl 4 2 0, 58.46°, rel. 136; hkl 5 1 2, 72.11°, rel. 83